Structure and theoretical X-ray diffraction stick pattern of Li3AcPd2 (a DFT-relaxed cell (GGA-PBE, Alexandria); Cu Ka).
No peak broadening, texture or thermal motion is included.

Atomic structure:
Cell lengths 7.990, 7.990, 8.197 Å; angles 114.58, 114.58, 30.59 degrees
Positions (direct):
Li 0.055 0.055 0.393
Li 0.308 0.308 0.525
Li 0.410 0.410 0.335
Li 0.590 0.590 0.665
Li 0.692 0.692 0.475
Li 0.945 0.945 0.607
Ac 0.143 0.143 0.052
Ac 0.857 0.857 0.948
Pd 0.204 0.204 0.721
Pd 0.472 0.472 0.818
Pd 0.528 0.528 0.182
Pd 0.796 0.796 0.279

Principal peaks in the range 15° ≤ 2θ ≤ 90°, low angle first:
d_spacing	Position (°2θ)	I_rel
3.369	26.46	18.3
3.356	26.56	38.2
3.229	27.63	20.6
3.119	28.62	100.0
2.914	30.69	47.4
2.726	32.85	22.6
2.613	34.31	64.4
2.485	36.14	24.4
2.392	37.61	31.5
2.232	40.42	54.8
2.108	42.91	25.8
2.061	43.94	17.5